# 1
For CaSn3P3O13, a cell relaxed with GGA-PBE gives the computed powder diffractogram in this record (Cu Kα (weighted mean of Kα1 and Kα2)).
No peak broadening, texture or thermal motion is included.

The 6 most intense peaks (2θ from 15° to 90°), by intensity:
| 2theta | d [Å] | Rel. int. |
| --- | --- | --- |
| 18.46 | 4.806 | 100 |
| 28.40 | 3.142 | 96 |
| 35.07 | 2.559 | 54 |
| 25.89 | 3.441 | 51 |
| 30.05 | 2.973 | 49 |
| 31.29 | 2.858 | 45 |

Atomic structure:
Cell lengths 7.7254, 6.8828, 11.1336 Å; angles 90.00, 98.09, 90.00 degrees
Atoms (fractional coordinates):
Ca1 0.1434 0.2500 0.2029
Ca2 0.8566 0.7500 0.7971
Sn1 0.1755 0.2500 0.7571
Sn2 0.2603 0.7500 0.4561
Sn3 0.5000 0.0000 0.0000
Sn4 0.5000 0.5000 0.0000
Sn5 0.7397 0.2500 0.5439
Sn6 0.8245 0.7500 0.2429
P1 0.1602 0.7500 0.0937
P2 0.2680 0.7500 0.7596
P3 0.2864 0.2500 0.4815
P4 0.7136 0.7500 0.5185
P5 0.7320 0.2500 0.2404
P6 0.8398 0.2500 0.9063
O1 0.0174 0.7500 0.9867
O2 0.0782 0.7500 0.2177
O3 0.1440 0.2500 0.5743
O4 0.1467 0.5696 0.7643
O5 0.1467 0.9304 0.7643
O6 0.2506 0.0756 0.3944
O7 0.2506 0.4244 0.3944
O8 0.2765 0.5609 0.1036
O9 0.2765 0.9391 0.1036
O10 0.3677 0.2500 0.9032
O11 0.3757 0.7500 0.6565
O12 0.4065 0.7500 0.8821
O13 0.4621 0.2500 0.5656
O14 0.5379 0.7500 0.4344
O15 0.5935 0.2500 0.1179
O16 0.6243 0.2500 0.3435
O17 0.6323 0.7500 0.0968
O18 0.7235 0.0609 0.8964
O19 0.7235 0.4391 0.8964
O20 0.7494 0.5756 0.6056
O21 0.7494 0.9244 0.6056
O22 0.8533 0.0696 0.2357
O23 0.8533 0.4304 0.2357
O24 0.8560 0.7500 0.4257
O25 0.9218 0.2500 0.7823
O26 0.9826 0.2500 0.0133


# 2
For CaSn4P6O24, a cell relaxed with GGA-PBE gives the computed powder diffractogram in this record (Cu Kα (weighted mean of Kα1 and Kα2)).
No peak broadening, texture or thermal motion is included.

The 6 most intense peaks (2θ from 15° to 90°), by intensity:
| 2theta | d [Å] | Rel. int. |
| --- | --- | --- |
| 31.38 | 2.851 | 100 |
| 21.10 | 4.210 | 92 |
| 19.53 | 4.544 | 83 |
| 28.91 | 3.088 | 51 |
| 24.06 | 3.699 | 48 |
| 36.98 | 2.431 | 36 |

Atomic structure:
Cell lengths 9.1461, 9.1461, 9.1461 Å; angles 54.82, 54.82, 54.82 degrees
Atoms (fractional coordinates):
Ca1 0.0000 0.0000 0.0000
Sn1 0.1478 0.1478 0.1478
Sn2 0.3492 0.3492 0.3492
Sn3 0.6508 0.6508 0.6508
Sn4 0.8522 0.8522 0.8522
P1 0.0380 0.4569 0.7507
P2 0.2493 0.9620 0.5431
P3 0.4569 0.7507 0.0380
P4 0.5431 0.2493 0.9620
P5 0.7507 0.0380 0.4569
P6 0.9620 0.5431 0.2493
O1 0.0160 0.6044 0.8004
O2 0.1129 0.8768 0.7512
O3 0.1232 0.2488 0.8871
O4 0.1581 0.5329 0.2062
O5 0.1729 0.4864 0.5402
O6 0.1996 0.9840 0.3956
O7 0.2062 0.1581 0.5329
O8 0.2488 0.8871 0.1232
O9 0.3956 0.1996 0.9840
O10 0.4598 0.8271 0.5136
O11 0.4671 0.7938 0.8419
O12 0.4864 0.5402 0.1729
O13 0.5136 0.4598 0.8271
O14 0.5329 0.2062 0.1581
O15 0.5402 0.1729 0.4864
O16 0.6044 0.8004 0.0160
O17 0.7512 0.1129 0.8768
O18 0.7938 0.8419 0.4671
O19 0.8004 0.0160 0.6044
O20 0.8271 0.5136 0.4598
O21 0.8419 0.4671 0.7938
O22 0.8768 0.7512 0.1129
O23 0.8871 0.1232 0.2488
O24 0.9840 0.3956 0.1996


# 3
For SrCaSnP2O8, a cell relaxed with GGA-PBE gives the computed powder diffractogram in this record (Cu Kα (weighted mean of Kα1 and Kα2)).
No peak broadening, texture or thermal motion is included.

The 6 most intense peaks (2θ from 15° to 90°), by intensity:
| 2theta | d [Å] | Rel. int. |
| --- | --- | --- |
| 27.46 | 3.248 | 100 |
| 28.01 | 3.186 | 80 |
| 31.55 | 2.835 | 49 |
| 28.91 | 3.089 | 46 |
| 27.49 | 3.245 | 38 |
| 33.22 | 2.697 | 31 |

Atomic structure:
Cell lengths 5.7183, 6.9260, 10.3704 Å; angles 108.59, 100.53, 96.71 degrees
Atoms (fractional coordinates):
Sr1 0.2362 0.2113 0.4547
Sr2 0.7638 0.7887 0.5453
Ca1 0.4651 0.5782 0.8336
Ca2 0.5349 0.4218 0.1664
Sn1 0.1342 0.8363 0.0913
Sn2 0.8658 0.1637 0.9087
P1 0.1432 0.6017 0.2966
P2 0.3167 0.0263 0.7742
P3 0.6833 0.9737 0.2258
P4 0.8568 0.3983 0.7034
O1 0.0850 0.9251 0.8058
O2 0.0970 0.4526 0.6638
O3 0.1343 0.4836 0.1391
O4 0.1932 0.8355 0.3109
O5 0.2609 0.0191 0.6228
O6 0.3619 0.5465 0.3825
O7 0.4115 0.2533 0.8854
O8 0.4777 0.1026 0.2021
O9 0.5223 0.8974 0.7979
O10 0.5885 0.7467 0.1146
O11 0.6381 0.4535 0.6175
O12 0.7391 0.9809 0.3772
O13 0.8068 0.1645 0.6891
O14 0.8657 0.5164 0.8609
O15 0.9030 0.5474 0.3362
O16 0.9150 0.0749 0.1942


# 4
For CaTiSnP3O12, a cell relaxed with GGA-PBE gives the computed powder diffractogram in this record (Cu Kα (weighted mean of Kα1 and Kα2)).
No peak broadening, texture or thermal motion is included.

The 6 most intense peaks (2θ from 15° to 90°), by intensity:
| 2theta | d [Å] | Rel. int. |
| --- | --- | --- |
| 20.23 | 4.390 | 100 |
| 31.59 | 2.832 | 94 |
| 23.55 | 3.777 | 86 |
| 19.78 | 4.488 | 47 |
| 35.42 | 2.534 | 43 |
| 48.18 | 1.889 | 35 |

Atomic structure:
Cell lengths 8.9810, 8.9810, 8.9810 Å; angles 58.52, 58.52, 58.52 degrees
Atoms (fractional coordinates):
Ca1 0.0000 0.0000 0.0000
Ca2 0.5000 0.5000 0.5000
Ti1 0.3574 0.3574 0.3574
Ti2 0.8574 0.8574 0.8574
Sn1 0.1507 0.1507 0.1507
Sn2 0.6507 0.6507 0.6507
P1 0.0470 0.4628 0.7538
P2 0.2538 0.9628 0.5470
P3 0.4628 0.7538 0.0470
P4 0.5470 0.2538 0.9628
P5 0.7538 0.0470 0.4628
P6 0.9628 0.5470 0.2538
O1 0.0090 0.6220 0.8017
O2 0.0671 0.2733 0.9203
O3 0.0863 0.9429 0.7309
O4 0.1220 0.5090 0.3017
O5 0.2115 0.9859 0.3882
O6 0.2309 0.4429 0.5863
O7 0.2733 0.9203 0.0671
O8 0.3017 0.1220 0.5090
O9 0.3882 0.2115 0.9859
O10 0.4203 0.7733 0.5671
O11 0.4429 0.5863 0.2309
O12 0.4859 0.7115 0.8882
O13 0.5090 0.3017 0.1220
O14 0.5671 0.4203 0.7733
O15 0.5863 0.2309 0.4429
O16 0.6220 0.8017 0.0090
O17 0.7115 0.8882 0.4859
O18 0.7309 0.0863 0.9429
O19 0.7733 0.5671 0.4203
O20 0.8017 0.0090 0.6220
O21 0.8882 0.4859 0.7115
O22 0.9203 0.0671 0.2733
O23 0.9429 0.7309 0.0863
O24 0.9859 0.3882 0.2115


- Which formula does entry 4 have?
  CaTiSnP3O12